1.
This entry pairs a crystal structure of NaAc2NpSe5 with its simulated PXRD pattern. Radiation: Cu Kα (weighted mean of Kα1 and Kα2). Structure: a cell relaxed with PBE.
No peak broadening, texture or thermal motion is included.

Most intense lines, 10° ≤ 2θ ≤ 90°, in order of rising 2θ:
Position (°2θ)  intensity
16.74  17.1
20.93  29.9
22.60  25.7
25.24  15.9
29.28  100.0
30.73  32.9
35.15  49.7
41.25  32.1
42.91  16.6
43.23  15.9

Cell and atoms:
Cell lengths 9.213, 9.213, 13.141 Å; angles 90.00, 90.00, 152.53 degrees
Fractional coordinates of all 18 atoms:
Na 0.031 0.969 0.500
Na 0.969 0.031 0.000
Ac 0.367 0.633 0.331
Ac 0.395 0.605 0.717
Ac 0.605 0.395 0.217
Ac 0.633 0.367 0.831
Np 0.297 0.703 0.041
Np 0.703 0.297 0.541
Se 0.006 0.994 0.802
Se 0.134 0.866 0.032
Se 0.189 0.811 0.390
Se 0.219 0.781 0.692
Se 0.443 0.557 0.111
Se 0.557 0.443 0.611
Se 0.781 0.219 0.192
Se 0.811 0.189 0.890
Se 0.866 0.134 0.532
Se 0.994 0.006 0.302

***

2.
This entry pairs a crystal structure of Na4Ac3NpTe8 with its simulated PXRD pattern. Radiation: Cu Kα (weighted mean of Kα1 and Kα2). Structure: a cell relaxed with PBE.
No peak broadening, texture or thermal motion is included.

Most intense lines, 10° ≤ 2θ ≤ 90°, in order of rising 2θ:
Position (°2θ)  intensity
11.75  37.2
22.08  24.8
26.91  100.0
38.11  39.7
38.74  38.0
47.27  21.4
55.47  13.3
62.26  18.6
63.15  17.9
69.28  13.4

Cell and atoms:
Cell lengths 9.300, 9.300, 9.300 Å; angles 61.04, 61.04, 61.04 degrees
Fractional coordinates of all 16 atoms:
Na 0.000 0.000 0.000
Na 0.000 0.500 0.500
Na 0.500 0.000 0.500
Na 0.500 0.500 0.000
Ac 0.000 0.000 0.500
Ac 0.000 0.500 0.000
Ac 0.500 0.000 0.000
Np 0.500 0.500 0.500
Te 0.251 0.251 0.251
Te 0.258 0.258 0.740
Te 0.258 0.740 0.258
Te 0.260 0.742 0.742
Te 0.740 0.258 0.258
Te 0.742 0.260 0.742
Te 0.742 0.742 0.260
Te 0.749 0.749 0.749

***

3.
This entry pairs a crystal structure of NaAcOs2O8 with its simulated PXRD pattern. Radiation: Cu Kα (weighted mean of Kα1 and Kα2). Structure: a cell relaxed with PBE.
No peak broadening, texture or thermal motion is included.

Most intense lines, 10° ≤ 2θ ≤ 90°, in order of rising 2θ:
Position (°2θ)  intensity
20.78  100.0
29.19  45.3
29.92  36.2
36.10  16.3
42.29  19.4
47.08  23.2
48.06  19.2
51.75  9.4
52.21  15.7
64.72  9.1

Cell and atoms:
Cell lengths 6.119, 6.119, 7.230 Å; angles 90.00, 90.00, 120.00 degrees
Fractional coordinates of all 12 atoms:
Na 0.000 0.000 0.000
Ac 0.000 0.000 0.500
Os 0.333 0.667 0.821
Os 0.667 0.333 0.179
O 0.172 0.344 0.732
O 0.172 0.828 0.732
O 0.333 0.667 0.065
O 0.344 0.172 0.268
O 0.656 0.828 0.732
O 0.667 0.333 0.935
O 0.828 0.172 0.268
O 0.828 0.656 0.268